Diffraction record for BaSr4Fe5O10. The powder X-ray diffraction pattern is calculated, not measured: it uses a PBE+U-relaxed structure and Cu Kα.
Intensities are scaled so that the largest is 100.

Most intense lines, 2θ = 10–90°, sorted by position:
d (Å)	two_theta	I/Imax	h k l
2.857	31.3	38	1 1 0
2.669	33.6	100	1 0 5
2.226	40.5	13	1 1 5
2.020	44.9	32	2 0 0
1.777	51.4	9	0 0 10
1.611	57.2	41	2 1 5
1.509	61.4	10	1 1 10
1.428	65.3	10	2 2 0
1.334	70.6	13	2 0 10
1.259	75.5	9	3 0 5

Crystal structure
Lattice parameters (Å, degrees): 4.0402 4.0402 17.7718 90.00 90.00 90.00
Space group P4/mmm (No. 123)
Asymmetric unit:
Ba: 0.0000 0.0000 0.0000
Sr: 0.0000 0.0000 0.2087
Sr: 0.0000 0.0000 0.4009
Fe: 0.5000 0.5000 0.1129
Fe: 0.5000 0.5000 0.3027
Fe: 0.5000 0.5000 0.5000
O: 0.0000 0.5000 0.1107
O: 0.0000 0.5000 0.3047
O: 0.0000 0.5000 0.5000